No. 1
Tl16Hg6Pb7: calculated X-ray diffraction stick pattern (Cu Kα (weighted mean of Kα1 and Kα2)), based on a crystal structure in Alexandria, relaxed with PBE.
Kinematic intensities with the Lorentz-polarization factor, no thermal factor.

The 10 most intense peaks (15° ≤ 2θ ≤ 90°), sorted by position:
2theta	Rel. int.
28.35	5.4
30.10	17.8
32.85	100.0
45.15	9.8
47.14	15.6
58.64	27.3
62.26	14.5
68.87	7.1
78.42	8.4
81.62	5.7

Crystal structure
```
data_Tl16Hg6Pb7
_chemical_formula_sum 'Tl64 Hg24 Pb28'
_space_group_name_H-M_alt 'F m -3 m'
_space_group_IT_number 225
_space_group_name_Hall '-F 4 2 3'
_cell_length_a 15.4250
_cell_length_b 15.4250
_cell_length_c 15.4250
_cell_angle_alpha 90.00
_cell_angle_beta 90.00
_cell_angle_gamma 90.00
loop_
_atom_site_label
_atom_site_fract_x
_atom_site_fract_y
_atom_site_fract_z
Tl1 0.1141 0.1141 0.1141
Tl2 0.1392 0.1392 0.3608
Hg1 0.0000 0.0000 0.2777
Pb1 0.0000 0.0000 0.5000
Pb2 0.0000 0.2500 0.2500
```

---

No. 2
Tb8Hg2Sb: calculated X-ray diffraction stick pattern (Cu Kα (weighted mean of Kα1 and Kα2)), based on a crystal structure in Alexandria, relaxed with PBE.
Kinematic intensities with the Lorentz-polarization factor, no thermal factor.

The 10 most intense peaks (15° ≤ 2θ ≤ 90°), sorted by position:
2theta	Rel. int.
25.05	32.0
29.67	52.5
30.15	72.8
31.90	37.6
32.17	92.5
32.78	48.0
33.20	73.9
35.56	100.0
59.61	30.3
67.30	30.2

Crystal structure
```
data_Tb8Hg2Sb
_chemical_formula_sum 'Tb16 Hg4 Sb2'
_space_group_name_H-M_alt 'C 1 2/m 1'
_space_group_IT_number 12
_cell_length_a 8.6738
_cell_length_b 14.3652
_cell_length_c 5.5670
_cell_angle_alpha 90.00
_cell_angle_beta 109.43
_cell_angle_gamma 90.00
loop_
_space_group_symop_operation_xyz
'x,y,z'
'-x,-y,-z'
'-x,y,-z'
'x,-y,z'
'x+1/2,y+1/2,z'
'-x+1/2,-y+1/2,-z'
'-x+1/2,y+1/2,-z'
'x+1/2,-y+1/2,z'
loop_
_atom_site_label
_atom_site_fract_x
_atom_site_fract_y
_atom_site_fract_z
Tb1 0.0000 0.2281 0.0000
Tb2 0.1025 0.5000 0.7988
Tb3 0.2013 0.1132 0.6117
Hg1 0.0000 0.3074 0.5000
Sb1 0.0000 0.0000 0.0000
```

---

No. 3
Sm3Y2In4: calculated X-ray diffraction stick pattern (Cu Kα (weighted mean of Kα1 and Kα2)), based on a crystal structure in Alexandria, relaxed with PBE.
Kinematic intensities with the Lorentz-polarization factor, no thermal factor.

The 10 most intense peaks (15° ≤ 2θ ≤ 90°), sorted by position:
2theta	Rel. int.
32.43	100.0
33.56	96.4
47.36	34.3
57.12	17.5
59.29	34.4
60.00	17.8
67.89	9.9
70.53	11.0
77.86	9.3
79.73	9.7

Crystal structure
```
data_Sm3Y2In4
_chemical_formula_sum 'Sm6 Y4 In8'
_space_group_name_H-M_alt 'C 1 2/m 1'
_space_group_IT_number 12
_cell_length_a 9.2451
_cell_length_b 5.3447
_cell_length_c 10.3237
_cell_angle_alpha 90.00
_cell_angle_beta 90.08
_cell_angle_gamma 90.00
loop_
_space_group_symop_operation_xyz
'x,y,z'
'-x,-y,-z'
'-x,y,-z'
'x,-y,z'
'x+1/2,y+1/2,z'
'-x+1/2,-y+1/2,-z'
'-x+1/2,y+1/2,-z'
'x+1/2,-y+1/2,z'
loop_
_atom_site_label
_atom_site_fract_x
_atom_site_fract_y
_atom_site_fract_z
Sm1 0.0000 0.0000 0.0000
Sm2 0.1666 0.5000 0.4228
Y1 0.1669 0.5000 0.7783
In1 0.9998 0.0000 0.3455
In2 0.1664 0.5000 0.1004
```